Calculated XRD peak list
Compound: KHg2GeTe4
Radiation: Cu Kα, 1.54184 Å
Structure: DFT lattice parameters and positions (PBE)
Peak positions follow from Bragg's law for the DFT cell and can differ from measured ones.

The 10 most intense peaks (10 to 90 degrees two-theta), in order of rising 2θ:
(2 0 0), 2θ = 15.73°, d = 5.632 Å, intensity 17; (0 0 2), 2θ = 19.29°, d = 4.601 Å, intensity 28; (2 0 2), 2θ = 24.99°, d = 3.563 Å, intensity 100; (3 1 1), 2θ = 26.84°, d = 3.322 Å, intensity 28; (4 0 0), 2θ = 31.78°, d = 2.816 Å, intensity 44; (4 2 0), 2θ = 35.65°, d = 2.519 Å, intensity 19; (0 4 2), 2θ = 37.44°, d = 2.402 Å, intensity 18; (2 4 2), 2θ = 40.84°, d = 2.209 Å, intensity 52; (2 2 4), 2θ = 45.54°, d = 1.992 Å, intensity 38; (8 2 2), 2θ = 72.12°, d = 1.310 Å, intensity 16

Structure:
Cell: 11.264 11.265 9.203 Å, 90.00 90.00 90.00°
Space group Fmm2 (No. 42)
Inequivalent atoms, fractional coordinates:
K 0.000 0.000 0.000
Hg 0.250 0.250 0.249
Ge 0.000 0.000 0.499
Te 0.000 0.194 0.339
Te 0.194 0.000 0.660